# 1
The following is a calculated X-ray powder pattern of Fe3O2F4. It was derived from a crystal structure in the Materials Project, relaxed with PBE+U, using Cu Kα, 1.54184 Å.

```
Fe3O2F4
1.0
5.717 0.000 0.000
1.610 5.517 0.000
2.349 1.708 6.858
Fe O F
6 4 8
Direct
0.000 0.000 0.000
0.017 0.015 0.500
0.340 0.333 0.666
0.374 0.310 0.169
0.661 0.651 0.813
0.691 0.701 0.340
0.240 0.229 0.457
0.441 0.432 0.880
0.649 0.023 0.170
0.791 0.781 0.535
0.044 0.618 0.174
0.115 0.100 0.204
0.326 0.710 0.490
0.374 0.957 0.841
0.585 0.568 0.132
0.718 0.322 0.487
0.911 0.893 0.790
0.968 0.376 0.835
```

Main lines, by angle (2θ from 15° to 90°):
two_theta, Rel. int.
25.91, 98
26.33, 100
34.31, 52
34.51, 49
39.37, 17
51.18, 29
51.61, 30
51.87, 28
53.28, 22
59.72, 17
65.20, 20
65.57, 21

# 2
The following is a calculated X-ray powder pattern of Fe5O3F7. It was derived from a crystal structure in the Materials Project, relaxed with PBE+U, using Cu Kα, 1.54184 Å.

```
Fe5O3F7
1.0
4.783 0.000 0.000
-0.182 4.788 0.000
-0.049 -0.054 15.805
Fe O F
10 6 14
Direct
0.000 0.000 0.000
0.003 0.000 0.612
0.017 0.016 0.797
0.475 0.474 0.902
0.504 0.493 0.494
0.508 0.507 0.700
0.522 0.523 0.102
0.534 0.500 0.307
0.972 0.012 0.395
0.980 0.970 0.199
0.174 0.173 0.899
0.208 0.206 0.701
0.689 0.308 0.397
0.800 0.799 0.292
0.805 0.802 0.703
0.824 0.822 0.096
0.190 0.187 0.511
0.207 0.205 0.099
0.208 0.210 0.287
0.293 0.708 0.396
0.294 0.707 0.000
0.302 0.701 0.204
0.303 0.698 0.795
0.306 0.699 0.603
0.699 0.302 0.795
0.704 0.302 0.605
0.706 0.298 0.203
0.707 0.293 0.000
0.792 0.791 0.898
0.806 0.807 0.513
```

Main lines, by angle (2θ from 15° to 90°):
two_theta, Rel. int.
25.84, 100
26.85, 97
33.94, 56
34.05, 53
38.64, 20
50.99, 49
52.05, 28
52.28, 28
53.12, 21
55.34, 16
58.39, 18
65.57, 27

# 3
The following is a calculated X-ray powder pattern of Fe6O5F7. It was derived from a crystal structure in the Materials Project, relaxed with PBE+U, using Cu Kα, 1.54184 Å.

```
Fe6O5F7
1.0
9.254 0.000 0.000
0.000 3.535 3.240
0.000 -3.535 3.240
Fe O F
6 5 7
Direct
0.000 0.000 0.000
0.168 0.496 0.496
0.325 0.991 0.991
0.500 0.526 0.526
0.675 0.991 0.991
0.832 0.496 0.496
0.163 0.796 0.796
0.167 0.199 0.199
0.500 0.832 0.832
0.833 0.199 0.199
0.837 0.796 0.796
0.000 0.306 0.688
0.000 0.688 0.306
0.328 0.302 0.702
0.328 0.702 0.302
0.500 0.210 0.210
0.672 0.302 0.702
0.672 0.702 0.302
```

Main lines, by angle (2θ from 15° to 90°):
two_theta, Rel. int.
25.19, 100
27.53, 89
34.61, 99
37.66, 16
38.74, 17
40.37, 15
50.75, 68
51.72, 21
53.37, 49
56.82, 15
59.98, 17
66.04, 51

# 4
The following is a calculated X-ray powder pattern of Fe2OF3. It was derived from a crystal structure in the Materials Project, relaxed with PBE+U, using Cu Kα, 1.54184 Å.

```
Fe2OF3
1.0
4.865 -3.111 0.000
4.865 3.111 0.000
-4.587 0.000 9.695
Fe O F
8 4 12
Direct
0.000 0.000 0.000
0.121 0.632 0.250
0.262 0.262 0.480
0.368 0.879 0.750
0.500 0.500 0.000
0.632 0.121 0.250
0.738 0.738 0.520
0.879 0.368 0.750
0.079 0.079 0.840
0.336 0.336 0.334
0.664 0.664 0.666
0.921 0.921 0.160
0.098 0.589 0.896
0.151 0.656 0.604
0.177 0.177 0.645
0.344 0.849 0.396
0.411 0.902 0.104
0.427 0.427 0.148
0.573 0.573 0.852
0.589 0.098 0.896
0.656 0.151 0.604
0.823 0.823 0.355
0.849 0.344 0.396
0.902 0.411 0.104
```

Main lines, by angle (2θ from 15° to 90°):
two_theta, Rel. int.
25.57, 92
26.33, 95
34.23, 100
38.81, 19
39.33, 18
50.85, 30
50.92, 30
51.73, 53
52.54, 22
59.42, 17
64.86, 19
65.04, 20

# 5
The following is a calculated X-ray powder pattern of Fe4OF7. It was derived from a crystal structure in the Materials Project, relaxed with PBE+U, using Cu Kα, 1.54184 Å.

```
Fe4OF7
1.0
-3.174 3.456 3.423
3.174 -3.456 3.423
3.174 3.456 -3.423
Fe O F
4 1 7
Direct
0.000 0.000 0.000
0.469 0.240 0.770
0.469 0.699 0.230
0.969 0.469 0.500
0.284 0.284 0.000
0.184 0.231 0.460
0.184 0.724 0.953
0.279 0.779 0.500
0.663 0.163 0.500
0.694 0.694 0.000
0.770 0.231 0.047
0.770 0.724 0.540
```

Main lines, by angle (2θ from 15° to 90°):
two_theta, Rel. int.
25.78, 89
26.03, 92
33.72, 100
36.96, 12
38.51, 21
38.69, 18
50.75, 58
51.03, 56
52.99, 21
53.54, 17
58.13, 17
64.56, 50

# 6
The following is a calculated X-ray powder pattern of Fe4O7F. It was derived from a crystal structure in the Materials Project, relaxed with PBE+U, using Cu Kα, 1.54184 Å.

```
Fe4O7F
1.0
4.624 -3.004 0.000
4.624 3.004 0.000
-4.299 0.000 9.240
Fe O F
8 14 2
Direct
0.000 0.000 0.000
0.133 0.652 0.262
0.267 0.267 0.511
0.396 0.888 0.761
0.513 0.513 0.008
0.652 0.133 0.262
0.744 0.744 0.496
0.888 0.396 0.761
0.039 0.039 0.359
0.061 0.558 0.411
0.213 0.715 0.105
0.276 0.276 0.852
0.307 0.811 0.911
0.460 0.966 0.603
0.498 0.498 0.663
0.522 0.522 0.346
0.558 0.061 0.411
0.715 0.213 0.105
0.747 0.747 0.165
0.783 0.783 0.855
0.811 0.307 0.911
0.966 0.460 0.603
0.236 0.236 0.155
0.985 0.985 0.658
```

Main lines, by angle (2θ from 15° to 90°):
two_theta, Rel. int.
26.80, 96
27.78, 93
35.65, 100
38.98, 20
40.46, 14
41.15, 12
53.29, 57
54.40, 54
55.23, 16
57.38, 15
61.76, 15
68.45, 38

# 7
The following is a calculated X-ray powder pattern of Fe6OF11. It was derived from a crystal structure in the Materials Project, relaxed with PBE+U, using Cu Kα, 1.54184 Å.

```
Fe6OF11
1.0
4.720 -3.406 0.000
4.720 3.406 0.000
-2.770 0.000 7.080
Fe O F
6 1 11
Direct
0.000 0.000 0.000
0.305 0.356 0.331
0.319 0.379 0.847
0.621 0.681 0.153
0.644 0.695 0.669
0.977 0.023 0.500
0.288 0.712 0.000
0.073 0.126 0.305
0.217 0.258 0.031
0.348 0.005 0.675
0.415 0.451 0.633
0.549 0.585 0.367
0.603 0.044 0.326
0.693 0.307 0.000
0.742 0.783 0.969
0.874 0.927 0.695
0.956 0.397 0.674
0.995 0.652 0.325
```

Main lines, by angle (2θ from 15° to 90°):
two_theta, Rel. int.
25.94, 87
26.17, 88
33.27, 100
38.17, 20
38.33, 18
50.56, 29
50.64, 29
50.87, 56
53.33, 19
53.84, 17
56.79, 18
64.55, 41

# 8
The following is a calculated X-ray powder pattern of Fe2O3F. It was derived from a crystal structure in the Materials Project, relaxed with PBE+U, using Cu Kα, 1.54184 Å.

```
Fe2O3F
1.0
15.048 0.000 0.000
0.000 3.196 3.447
0.000 -3.196 3.447
Fe O F
10 15 5
Direct
0.000 0.000 0.000
0.100 0.459 0.459
0.200 0.987 0.987
0.299 0.514 0.514
0.400 0.973 0.973
0.500 0.511 0.511
0.600 0.973 0.973
0.701 0.514 0.514
0.800 0.987 0.987
0.900 0.459 0.459
0.000 0.283 0.672
0.000 0.672 0.283
0.103 0.168 0.168
0.200 0.294 0.680
0.200 0.680 0.294
0.297 0.808 0.808
0.400 0.302 0.685
0.400 0.685 0.302
0.500 0.801 0.801
0.600 0.302 0.685
0.600 0.685 0.302
0.703 0.808 0.808
0.800 0.294 0.680
0.800 0.680 0.294
0.897 0.168 0.168
0.098 0.788 0.788
0.302 0.184 0.184
0.500 0.183 0.183
0.698 0.184 0.184
0.902 0.788 0.788
```

Main lines, by angle (2θ from 15° to 90°):
two_theta, Rel. int.
25.85, 100
27.92, 93
35.45, 98
38.41, 19
39.76, 15
41.20, 13
52.08, 58
53.14, 15
54.42, 52
57.70, 15
61.64, 16
67.56, 38